For SrSn3Sb4, a DFT-relaxed cell (PBE, the Materials Project) gives the calculated X-ray powder pattern in this record (Cu Kα X-rays).

Largest 10 diffraction maxima, sorted by position, 2θ = 5–70°:
2θ/deg, I (rel.), h k l
25.94, 63, 2 0 5
26.57, 35, 3 0 1
26.91, 79, 2 1 1
29.10, 100, 1 1 5
30.74, 61, 0 0 8
31.85, 64, 1 1 6
33.45, 86, 3 1 1
40.59, 65, 0 2 0
43.85, 53, 4 1 4
44.25, 47, 2 1 9

Structural model:
abc: 10.176 4.446 23.284
angles: 90.00 90.00 90.00
Space group Pnma (No. 62)
Symmetry-distinct sites (fractional):
Sr1 0.062 0.250 0.130
Sn1 0.044 0.750 0.350
Sn2 0.145 0.750 0.511
Sn3 0.223 0.750 0.751
Sb1 0.032 0.250 0.768
Sb2 0.072 0.250 0.971
Sb3 0.203 0.250 0.592
Sb4 0.214 0.250 0.377